The following is a calculated XRD peak list of LaHgAs4. It was derived from a GGA-PBE-relaxed structure, using Cu Kα (λ = 1.5418 Å).

Atomic structure:
```
LaHgAs4
1.0
0.000 4.083 4.083
4.083 0.000 4.083
4.083 4.083 0.000
La Hg As
1 1 4
Direct
0.000 0.000 0.000
0.250 0.250 0.250
0.137 0.621 0.621
0.621 0.137 0.621
0.621 0.621 0.137
0.621 0.621 0.621
```

Principal peaks in the range 2θ = 10–90°, by intensity:
- 2θ 36.50, d = 2.462 Å, intensity 1000
- 2θ 30.98, d = 2.887 Å, intensity 564
- 2θ 58.76, d = 1.571 Å, intensity 335
- 2θ 64.56, d = 1.443 Å, intensity 249
- 2θ 55.10, d = 1.667 Å, intensity 225
- 2θ 38.18, d = 2.357 Å, intensity 187



The following is a calculated XRD peak list of Co7Ge3. It was derived from a GGA-PBE-relaxed structure, using Cu Kα (λ = 1.5418 Å).

Atomic structure:
```
Co7Ge3
1.0
6.312 -1.902 0.000
6.312 1.902 0.000
-1.358 0.000 4.797
Co Ge
7 3
Direct
0.000 0.000 0.000
0.206 0.206 0.642
0.384 0.384 0.129
0.415 0.415 0.651
0.585 0.585 0.349
0.616 0.616 0.871
0.794 0.794 0.358
0.000 0.000 0.500
0.192 0.192 0.158
0.808 0.808 0.842
```

Principal peaks in the range 2θ = 10–90°, by intensity:
- 2θ 44.24, d = 2.047 Å, intensity 1000
- 2θ 43.50, d = 2.080 Å, intensity 749
- 2θ 47.83, d = 1.902 Å, intensity 406
- 2θ 50.45, d = 1.809 Å, intensity 198
- 2θ 45.14, d = 2.009 Å, intensity 171
- 2θ 54.86, d = 1.674 Å, intensity 163



The following is a calculated XRD peak list of Ba2Ge2Te. It was derived from a GGA-PBE-relaxed structure, using Cu Kα (λ = 1.5418 Å).

Atomic structure:
```
Ba2Ge2Te
1.0
8.756 0.000 0.000
0.000 8.756 0.000
0.000 0.000 4.508
Ba Ge Te
4 4 2
Direct
0.197 0.303 0.000
0.303 0.803 0.000
0.697 0.197 0.000
0.803 0.697 0.000
0.095 0.595 0.500
0.405 0.095 0.500
0.595 0.905 0.500
0.905 0.405 0.500
0.000 0.000 0.500
0.500 0.500 0.500
```

Principal peaks in the range 2θ = 10–90°, by intensity:
- 2θ 28.42, d = 3.141 Å, intensity 1000
- 2θ 30.23, d = 2.956 Å, intensity 616
- 2θ 28.84, d = 3.096 Å, intensity 304
- 2θ 32.33, d = 2.769 Å, intensity 238
- 2θ 57.42, d = 1.605 Å, intensity 201
- 2θ 42.57, d = 2.124 Å, intensity 199



The following is a calculated XRD peak list of Dy3GaAg. It was derived from a GGA-PBE-relaxed structure, using Cu Kα (λ = 1.5418 Å).

Atomic structure:
```
Dy3GaAg
1.0
8.590 -4.772 0.000
8.590 4.772 0.000
-0.679 0.000 6.234
Dy Ga Ag
12 4 4
Direct
0.049 0.255 0.607
0.191 0.697 0.975
0.255 0.049 0.107
0.287 0.382 0.507
0.303 0.809 0.525
0.382 0.287 0.007
0.618 0.713 0.993
0.697 0.191 0.475
0.713 0.618 0.493
0.745 0.951 0.893
0.809 0.303 0.025
0.951 0.745 0.393
0.030 0.421 0.174
0.421 0.030 0.674
0.579 0.970 0.326
0.970 0.579 0.826
0.000 0.000 0.250
0.000 0.000 0.750
0.495 0.505 0.250
0.505 0.495 0.750
```

Principal peaks in the range 2θ = 10–90°, by intensity:
- 2θ 32.27, d = 2.774 Å, intensity 1000
- 2θ 32.61, d = 2.746 Å, intensity 847
- 2θ 36.76, d = 2.445 Å, intensity 689
- 2θ 35.03, d = 2.561 Å, intensity 589
- 2θ 29.94, d = 2.985 Å, intensity 509
- 2θ 36.92, d = 2.435 Å, intensity 413



The following is a calculated XRD peak list of La3Pr2Ho6. It was derived from a GGA-PBE-relaxed structure, using Cu Kα (λ = 1.5418 Å).

Atomic structure:
```
La3Pr2Ho6
1.0
3.108 -5.398 0.000
3.108 5.398 0.000
-2.091 0.000 11.560
La Pr Ho
3 2 6
Direct
0.000 0.000 0.000
0.336 0.664 0.000
0.664 0.336 0.000
0.166 0.834 0.500
0.834 0.166 0.500
0.085 0.417 0.252
0.250 0.250 0.749
0.417 0.085 0.252
0.583 0.915 0.748
0.750 0.750 0.251
0.915 0.583 0.748
```

Principal peaks in the range 2θ = 10–90°, by intensity:
- 2θ 30.52, d = 2.929 Å, intensity 1000
- 2θ 35.51, d = 2.528 Å, intensity 668
- 2θ 30.94, d = 2.890 Å, intensity 321
- 2θ 51.37, d = 1.779 Å, intensity 235
- 2θ 60.72, d = 1.525 Å, intensity 189
- 2θ 50.85, d = 1.796 Å, intensity 161



The following is a calculated XRD peak list of Gd3Se2NO. It was derived from a GGA-PBE-relaxed structure, using Cu Kα (λ = 1.5418 Å).

Atomic structure:
```
Gd3Se2NO
1.0
7.842 -1.981 0.000
7.842 1.981 0.000
-1.276 0.000 9.765
Gd Se N O
6 4 2 2
Direct
0.045 0.045 0.261
0.197 0.197 0.674
0.391 0.391 0.055
0.609 0.609 0.945
0.803 0.803 0.326
0.955 0.955 0.739
0.213 0.213 0.150
0.371 0.371 0.527
0.629 0.629 0.473
0.787 0.787 0.850
0.097 0.097 0.811
0.903 0.903 0.189
0.465 0.465 0.861
0.535 0.535 0.139
```

Principal peaks in the range 2θ = 10–90°, by intensity:
- 2θ 30.07, d = 2.972 Å, intensity 1000
- 2θ 27.41, d = 3.254 Å, intensity 489
- 2θ 45.18, d = 2.007 Å, intensity 317
- 2θ 36.74, d = 2.446 Å, intensity 317
- 2θ 45.81, d = 1.981 Å, intensity 190
- 2θ 40.12, d = 2.247 Å, intensity 158



The following is a calculated XRD peak list of Pu8As5S3. It was derived from a GGA-PBE-relaxed structure, using Cu Kα (λ = 1.5418 Å).

Atomic structure:
```
Pu8As5S3
1.0
4.097 2.365 6.656
-4.097 2.365 6.656
0.000 -4.731 6.656
Pu As S
8 5 3
Direct
0.244 0.750 0.750
0.247 0.247 0.247
0.250 0.250 0.756
0.250 0.756 0.250
0.750 0.244 0.750
0.750 0.750 0.244
0.753 0.753 0.753
0.756 0.250 0.250
0.000 0.000 0.000
0.000 0.500 0.500
0.500 0.000 0.500
0.500 0.500 0.000
0.500 0.500 0.500
0.000 0.000 0.500
0.000 0.500 0.000
0.500 0.000 0.000
```

Principal peaks in the range 2θ = 10–90°, by intensity:
- 2θ 30.92, d = 2.892 Å, intensity 1000
- 2θ 26.66, d = 3.343 Å, intensity 488
- 2θ 44.22, d = 2.048 Å, intensity 380
- 2θ 44.37, d = 2.042 Å, intensity 373
- 2θ 52.43, d = 1.745 Å, intensity 249
- 2θ 54.93, d = 1.672 Å, intensity 202



The following is a calculated XRD peak list of Ga3Ni12Ru. It was derived from a GGA-PBE-relaxed structure, using Cu Kα (λ = 1.5418 Å).

Atomic structure:
```
Ga3Ni12Ru
1.0
3.592 0.000 0.000
0.000 3.592 0.000
0.000 0.000 14.289
Ga Ni Ru
3 12 1
Direct
0.000 0.000 0.000
0.000 0.000 0.247
0.000 0.000 0.753
0.000 0.500 0.125
0.000 0.500 0.375
0.000 0.500 0.625
0.000 0.500 0.875
0.500 0.000 0.125
0.500 0.000 0.375
0.500 0.000 0.625
0.500 0.000 0.875
0.500 0.500 0.000
0.500 0.500 0.250
0.500 0.500 0.500
0.500 0.500 0.750
0.000 0.000 0.500
```

Principal peaks in the range 2θ = 10–90°, by intensity:
- 2θ 43.73, d = 2.070 Å, intensity 1000
- 2θ 50.83, d = 1.796 Å, intensity 314
- 2θ 74.99, d = 1.267 Å, intensity 182
- 2θ 51.14, d = 1.786 Å, intensity 154
- 2θ 74.74, d = 1.270 Å, intensity 92
- 2θ 24.78, d = 3.592 Å, intensity 7